No. 1
Theoretical X-ray diffraction stick pattern
Compound: MgMn2O2F2
Radiation: a wavelength of 1.5418 Å
Structure: a DFT-relaxed cell (PBE+U, the Materials Project)
Lines closer than 0.1° are merged.

The 10 most intense peaks (5° ≤ 2θ ≤ 70°), sorted by position:
two_theta  I/Imax
20.32  30
24.72  100
32.68  49
33.16  35
35.12  51
43.42  25
48.82  39
49.17  25
50.85  27
57.34  16

```
MgMn2O2F2
1.0
3.1490 0.0000 0.0000
0.0000 3.6014 4.3711
0.0000 -3.6014 4.3711
Mg Mn O F
1 2 2 2
Direct
0.0000 0.0000 0.0000
0.0000 0.6795 0.6795
0.5000 0.3133 0.3133
0.5000 0.5301 0.5301
0.5000 0.8734 0.8734
0.0000 0.0187 0.3543
0.0000 0.3543 0.0187
```

=====

No. 2
Theoretical X-ray diffraction stick pattern
Compound: MgMn5O9F
Radiation: a wavelength of 1.5418 Å
Structure: a DFT-relaxed cell (PBE+U, the Materials Project)
Lines closer than 0.1° are merged.

The 10 most intense peaks (5° ≤ 2θ ≤ 70°), sorted by position:
two_theta  I/Imax
17.93  100
34.61  11
35.10  12
35.37  11
36.29  10
41.19  22
42.87  22
43.24  21
45.76  6
61.93  12

```
MgMn5O9F
1.0
5.2146 0.0000 0.0000
-1.0017 5.2496 0.0000
-1.6684 -2.7451 7.0707
Mg Mn O F
1 5 9 1
Direct
0.0000 0.0000 0.0000
0.1114 0.1707 0.6727
0.3165 0.5837 0.0895
0.5149 0.9644 0.4826
0.6973 0.3752 0.8789
0.9144 0.7532 0.2925
0.1805 0.7878 0.5128
0.2532 0.9211 0.2364
0.3107 0.2295 0.9308
0.4536 0.3076 0.6308
0.5894 0.6280 0.3475
0.6827 0.7382 0.0463
0.7771 0.0411 0.7363
0.8623 0.1006 0.4284
0.9576 0.4001 0.1126
0.0585 0.6383 0.8485
```

=====

No. 3
Theoretical X-ray diffraction stick pattern
Compound: MgMn6O6F6
Radiation: a wavelength of 1.5418 Å
Structure: a DFT-relaxed cell (PBE+U, the Materials Project)
Lines closer than 0.1° are merged.

The 10 most intense peaks (5° ≤ 2θ ≤ 70°), sorted by position:
two_theta  I/Imax
23.14  100
27.05  70
33.89  41
34.65  54
40.14  15
47.35  27
49.14  21
51.76  20
53.39  16
60.30  20

```
MgMn6O6F6
1.0
3.0700 0.0000 0.0000
0.0029 5.2766 0.0000
0.0071 2.2326 14.4543
Mg Mn O F
1 6 6 6
Direct
0.0000 0.0000 0.0000
0.0007 0.5153 0.0269
0.0025 0.4107 0.6620
0.0029 0.3682 0.3465
0.5014 0.9077 0.8118
0.5016 0.8649 0.1995
0.5029 0.8999 0.5071
0.0011 0.7845 0.8969
0.0016 0.1017 0.7536
0.0019 0.6586 0.2490
0.0029 0.0657 0.4372
0.0030 0.7214 0.5734
0.5005 0.7583 0.0616
0.9995 0.1542 0.1175
0.4995 0.1926 0.2777
0.4998 0.2554 0.9626
0.5024 0.2494 0.5968
0.5027 0.5729 0.7354
0.5054 0.5354 0.4071
```

=====

No. 4
Theoretical X-ray diffraction stick pattern
Compound: MgMn6O6F6
Radiation: a wavelength of 1.5418 Å
Structure: a DFT-relaxed cell (PBE+U, the Materials Project)
Lines closer than 0.1° are merged.

The 10 most intense peaks (5° ≤ 2θ ≤ 70°), sorted by position:
two_theta  I/Imax
23.95  81
26.09  100
28.71  24
34.01  25
34.17  35
34.69  28
34.97  32
50.99  20
52.68  21
60.90  23

```
MgMn6O6F6
1.0
3.0426 0.0000 0.0000
-0.0184 5.2604 0.0000
-0.1166 -1.2262 14.5194
Mg Mn O F
1 6 6 6
Direct
0.0000 0.0000 0.0000
0.4480 0.4830 0.3403
0.4537 0.5745 0.6572
0.4932 0.5059 0.9890
0.9484 0.1078 0.5026
0.9544 0.8914 0.1884
0.9701 0.0446 0.8089
0.4493 0.2693 0.5688
0.4655 0.8809 0.7461
0.4805 0.1550 0.9048
0.4973 0.8506 0.0731
0.9476 0.6236 0.2758
0.9496 0.3498 0.4059
0.4486 0.8972 0.4425
0.4507 0.1274 0.2448
0.9512 0.7512 0.5900
0.9581 0.3971 0.7311
0.9893 0.6862 0.9127
0.9952 0.3389 0.0654
```

=====

No. 5
Theoretical X-ray diffraction stick pattern
Compound: MgMn8O8F8
Radiation: a wavelength of 1.5418 Å
Structure: a DFT-relaxed cell (PBE+U, the Materials Project)
Lines closer than 0.1° are merged.

The 10 most intense peaks (5° ≤ 2θ ≤ 70°), sorted by position:
two_theta  I/Imax
25.62  100
26.19  87
33.43  33
33.96  29
34.42  57
39.33  25
49.61  19
51.79  20
52.65  19
59.01  23

```
MgMn8O8F8
1.0
4.7949 0.0000 0.0000
0.1094 4.9390 0.0000
0.2077 0.3768 12.5200
Mg Mn O F
1 8 8 8
Direct
0.0000 0.0000 0.0000
0.0140 0.4955 0.7459
0.0233 0.5302 0.2585
0.0455 0.4946 0.0012
0.4521 0.0112 0.6216
0.4533 0.0158 0.1434
0.5187 0.0807 0.8638
0.5203 0.0969 0.3822
0.9603 0.5817 0.5026
0.1522 0.7240 0.6252
0.1561 0.7163 0.1174
0.3033 0.2197 0.7385
0.3322 0.2658 0.2607
0.3372 0.2162 0.0055
0.6605 0.8640 0.5009
0.8230 0.3757 0.3819
0.8776 0.2995 0.8856
0.1809 0.7734 0.8842
0.2050 0.7963 0.3752
0.2734 0.2825 0.5032
0.6909 0.7669 0.9964
0.6928 0.7859 0.7578
0.7056 0.8141 0.2536
0.7689 0.3056 0.6254
0.8402 0.2356 0.1167
```

=====

No. 6
Theoretical X-ray diffraction stick pattern
Compound: MgMn12O14F10
Radiation: a wavelength of 1.5418 Å
Structure: a DFT-relaxed cell (PBE+U, the Materials Project)
Lines closer than 0.1° are merged.

The 10 most intense peaks (5° ≤ 2θ ≤ 70°), sorted by position:
two_theta  I/Imax
23.79  59
24.06  68
28.88  93
29.75  100
30.09  86
30.51  71
40.50  38
50.95  59
51.15  38
53.42  54

```
MgMn12O14F10
1.0
4.8642 0.0000 0.0000
0.0741 5.7846 0.0000
0.6777 0.5206 15.1775
Mg Mn O F
1 12 14 10
Direct
0.0000 0.0000 0.0000
0.0236 0.7392 0.5160
0.0350 0.4513 0.3478
0.0384 0.7765 0.1840
0.0415 0.4743 0.0185
0.4971 0.2361 0.8302
0.5139 0.9353 0.6615
0.5297 0.7338 0.0036
0.5437 0.2748 0.5031
0.5591 0.9810 0.3391
0.5945 0.2997 0.1697
0.9811 0.7215 0.8359
0.9913 0.4305 0.6734
0.1778 0.4624 0.7829
0.1997 0.7194 0.9425
0.2168 0.7144 0.6194
0.2506 0.4914 0.4512
0.3565 0.5238 0.1010
0.7216 0.1894 0.7200
0.7215 0.9339 0.9081
0.7420 0.9832 0.5554
0.7453 0.2341 0.3935
0.7622 0.0240 0.2303
0.7966 0.4986 0.5659
0.8236 0.2455 0.0705
0.8425 0.7312 0.0724
0.8559 0.5204 0.2385
0.2408 0.2314 0.9456
0.2644 0.9645 0.7736
0.2810 0.9840 0.1032
0.2852 0.2212 0.6053
0.2880 0.9777 0.4451
0.2958 0.7528 0.2874
0.3211 0.2629 0.2713
0.7254 0.6895 0.7409
0.7255 0.4652 0.9127
0.8178 0.7347 0.4034
```

=====

No. 7
Theoretical X-ray diffraction stick pattern
Compound: MgMn6O5F7
Radiation: a wavelength of 1.5418 Å
Structure: a DFT-relaxed cell (PBE+U, the Materials Project)
Lines closer than 0.1° are merged.

The 10 most intense peaks (5° ≤ 2θ ≤ 70°), sorted by position:
two_theta  I/Imax
24.36  60
28.34  100
32.21  21
32.71  52
32.87  62
39.68  30
49.93  19
53.23  25
55.15  21
63.36  22

```
MgMn6O5F7
1.0
4.5990 -3.6533 0.0000
4.5990 3.6533 0.0000
-1.9147 0.0000 6.8420
Mg Mn O F
1 6 5 7
Direct
0.0000 0.0000 0.0000
0.1694 0.8306 0.5000
0.3704 0.6296 0.0000
0.5097 0.0981 0.8438
0.5660 0.1508 0.3402
0.8492 0.4340 0.6598
0.9019 0.4903 0.1562
0.1058 0.7319 0.1732
0.2681 0.8942 0.8268
0.6771 0.2213 0.1302
0.7787 0.3229 0.8698
0.8772 0.1228 0.5000
0.2147 0.2017 0.1874
0.2208 0.3827 0.7991
0.4382 0.0394 0.5373
0.4864 0.5136 0.5000
0.6173 0.7792 0.2009
0.7983 0.7853 0.8126
0.9606 0.5618 0.4627
```

=====

No. 8
Theoretical X-ray diffraction stick pattern
Compound: MgMn6O10F2
Radiation: a wavelength of 1.5418 Å
Structure: a DFT-relaxed cell (PBE+U, the Materials Project)
Lines closer than 0.1° are merged.

The 10 most intense peaks (5° ≤ 2θ ≤ 70°), sorted by position:
two_theta  I/Imax
22.85  100
27.48  68
35.50  19
35.65  15
35.97  41
36.14  22
48.56  20
49.59  27
53.84  14
54.21  14

```
MgMn6O10F2
1.0
5.0533 0.0000 0.0000
0.9135 4.9992 0.0000
0.1080 0.1373 8.7141
Mg Mn O F
1 6 10 2
Direct
0.0000 0.0000 0.0000
0.0613 0.5048 0.6689
0.0801 0.4944 0.0061
0.4968 0.9486 0.4952
0.4975 0.9265 0.8267
0.5040 0.9518 0.1816
0.9741 0.4414 0.3390
0.1557 0.2192 0.1651
0.1645 0.2420 0.8439
0.1742 0.2490 0.5062
0.3541 0.7539 0.6642
0.3616 0.7656 0.0048
0.3703 0.7682 0.3362
0.6405 0.1415 0.3324
0.8303 0.6724 0.5025
0.8612 0.7085 0.1644
0.8884 0.7190 0.8476
0.6321 0.1716 0.0042
0.6416 0.1323 0.6673
```